The following is a computed powder XRD pattern of In4Pd5Au2. It was derived from a crystal structure in Alexandria, relaxed with PBE, using a wavelength of 1.5418 Å.

Top 10 peaks for 10 to 90 degrees two-theta, in order of rising 2θ:
- 12.7 deg, I 67
- 22.7 deg, I 34
- 28.9 deg, I 22
- 30.0 deg, I 23
- 32.2 deg, I 28
- 35.9 deg, I 21
- 38.7 deg, I 24
- 39.0 deg, I 46
- 43.6 deg, I 100
- 73.8 deg, I 23

Structure:
a b c (Å): 12.218 12.218 12.218
angles (deg): 165.90 145.11 37.80
Fractional positions:
In  0.193  0.193  0.000
In  0.195  0.500  0.695
In  0.805  0.500  0.305
In  0.807  0.807  0.000
Pd  0.110  0.300  0.810
Pd  0.489  0.300  0.190
Pd  0.500  0.000  0.500
Pd  0.511  0.700  0.810
Pd  0.890  0.700  0.190
Au  0.400  0.400  0.000
Au  0.600  0.600  0.000